Entry 1:
Starting from a PBE-relaxed structure, the powder XRD pattern of CsCrP2S7 was simulated for Cu Kα, 1.54184 Å.
No peak broadening, texture or thermal motion is included.

Crystal structure
Lattice parameters (Å, degrees): 6.5229 6.5229 7.1471 94.44 94.44 96.64
Positions (direct):
Cs 0.0000 0.0000 0.0000
Cr 0.5886 0.4114 0.5000
P 0.0411 0.5565 0.4313
P 0.4435 0.9589 0.5687
S 0.1140 0.8860 0.5000
S 0.2730 0.4389 0.3014
S 0.4556 0.2187 0.7495
S 0.5611 0.7270 0.6986
S 0.5801 0.0660 0.3430
S 0.7813 0.5444 0.2505
S 0.9340 0.4199 0.6570

Principal peaks in the range 5 to 70 degrees two-theta, most intense first:
| d/Å | I/Imax |
| --- | --- |
| 3.228 | 100 |
| 4.997 | 94 |
| 4.017 | 83 |
| 4.581 | 80 |
| 2.911 | 59 |
| 2.754 | 55 |
| 2.290 | 42 |
| 2.836 | 41 |

Entry 2:
Starting from a PBE-relaxed structure, the powder XRD pattern of Cs2CrPbS4 was simulated for Cu Kα, 1.54184 Å.
No peak broadening, texture or thermal motion is included.

Crystal structure
Lattice parameters (Å, degrees): 14.3851 13.0350 7.7742 83.37 64.17 32.47
Positions (direct):
Cs 0.0555 0.0555 0.6945
Cs 0.3055 0.3055 0.9445
Cs 0.6945 0.6945 0.0555
Cs 0.9445 0.9445 0.3055
Cr 0.3750 0.3750 0.3750
Cr 0.6250 0.6250 0.6250
Pb 0.1250 0.1250 0.1250
Pb 0.8750 0.8750 0.8750
S 0.0443 0.6075 0.5218
S 0.3264 0.5218 0.6075
S 0.3925 0.9557 0.6736
S 0.4782 0.6736 0.9557
S 0.5218 0.3264 0.0443
S 0.6075 0.0443 0.3264
S 0.6736 0.4782 0.3925
S 0.9557 0.3925 0.4782

Principal peaks in the range 5 to 70 degrees two-theta, most intense first:
| d/Å | I/Imax |
| --- | --- |
| 3.594 | 100 |
| 3.056 | 81 |
| 3.073 | 70 |
| 6.289 | 57 |
| 3.493 | 56 |
| 2.651 | 53 |
| 5.970 | 53 |
| 3.804 | 49 |

Entry 3:
Starting from a PBE-relaxed structure, the powder XRD pattern of Cs2RbCrSe4 was simulated for Cu Kα, 1.54184 Å.
No peak broadening, texture or thermal motion is included.

Crystal structure
Lattice parameters (Å, degrees): 15.7793 14.8511 7.6837 82.29 68.86 28.85
Positions (direct):
Cs 0.0640 0.0640 0.6860
Cs 0.3140 0.3140 0.9360
Cs 0.6860 0.6860 0.0640
Cs 0.9360 0.9360 0.3140
Rb 0.1250 0.1250 0.1250
Rb 0.8750 0.8750 0.8750
Cr 0.3750 0.3750 0.3750
Cr 0.6250 0.6250 0.6250
Se 0.0656 0.5906 0.4822
Se 0.3617 0.4822 0.5906
Se 0.4094 0.9344 0.6383
Se 0.4822 0.3617 0.0656
Se 0.5178 0.6383 0.9344
Se 0.5906 0.0656 0.3617
Se 0.6383 0.5178 0.4094
Se 0.9344 0.4094 0.5178

Principal peaks in the range 5 to 70 degrees two-theta, most intense first:
| d/Å | I/Imax |
| --- | --- |
| 3.191 | 100 |
| 7.163 | 90 |
| 3.564 | 63 |
| 3.367 | 52 |
| 3.872 | 50 |
| 5.504 | 36 |
| 3.807 | 36 |
| 3.026 | 35 |

Entry 4:
Starting from a PBE-relaxed structure, the powder XRD pattern of CsCrS3 was simulated for Cu Kα, 1.54184 Å.
No peak broadening, texture or thermal motion is included.

Crystal structure
Lattice parameters (Å, degrees): 6.7400 6.2898 7.5079 90.00 108.84 90.00
Positions (direct):
Cs 0.2122 0.2500 0.3360
Cs 0.7878 0.7500 0.6640
Cr 0.4158 0.7500 0.0354
Cr 0.5842 0.2500 0.9646
S 0.1593 0.7500 0.1265
S 0.3581 0.5028 0.8002
S 0.3581 0.9972 0.8002
S 0.6419 0.0028 0.1998
S 0.6419 0.4972 0.1998
S 0.8407 0.2500 0.8735

Principal peaks in the range 5 to 70 degrees two-theta, most intense first:
| d/Å | I/Imax |
| --- | --- |
| 4.248 | 100 |
| 3.093 | 71 |
| 2.502 | 69 |
| 3.341 | 58 |
| 4.130 | 54 |
| 2.760 | 39 |
| 4.710 | 38 |
| 3.147 | 37 |

Entry 5:
Starting from a PBE-relaxed structure, the powder XRD pattern of Cs5Cr2S6 was simulated for Cu Kα, 1.54184 Å.
No peak broadening, texture or thermal motion is included.

Crystal structure
Lattice parameters (Å, degrees): 7.8765 7.8765 17.5459 100.53 100.53 65.40
Positions (direct):
Cs 0.1001 0.8999 0.7500
Cs 0.1731 0.6916 0.0028
Cs 0.2765 0.4094 0.2816
Cs 0.3084 0.8269 0.4972
Cs 0.4094 0.2765 0.7816
Cs 0.5906 0.7235 0.2184
Cs 0.6916 0.1731 0.5028
Cs 0.7235 0.5906 0.7184
Cs 0.8269 0.3084 0.9972
Cs 0.8999 0.1001 0.2500
Cr 0.1107 0.4284 0.5652
Cr 0.4284 0.1107 0.0652
Cr 0.5716 0.8893 0.9348
Cr 0.8893 0.5716 0.4348
S 0.0832 0.2296 0.6302
S 0.1494 0.3058 0.4412
S 0.2296 0.0832 0.1302
S 0.3058 0.1494 0.9412
S 0.3448 0.5013 0.6220
S 0.4987 0.6552 0.8780
S 0.5013 0.3448 0.1220
S 0.6552 0.4987 0.3780
S 0.6942 0.8506 0.0588
S 0.7704 0.9168 0.8698
S 0.8506 0.6942 0.5588
S 0.9168 0.7704 0.3698

Principal peaks in the range 5 to 70 degrees two-theta, most intense first:
| d/Å | I/Imax |
| --- | --- |
| 3.807 | 100 |
| 3.607 | 80 |
| 3.522 | 77 |
| 3.411 | 48 |
| 2.386 | 46 |
| 4.282 | 43 |
| 2.208 | 33 |
| 3.280 | 33 |

Entry 6:
Starting from a PBE-relaxed structure, the powder XRD pattern of Cs2CrS3 was simulated for Cu Kα, 1.54184 Å.
No peak broadening, texture or thermal motion is included.

Crystal structure
Lattice parameters (Å, degrees): 8.0186 8.0186 16.2593 90.00 90.00 127.29
Positions (direct):
Cs 0.0646 0.9354 0.8559
Cs 0.1388 0.8612 0.4278
Cs 0.3612 0.6388 0.9278
Cs 0.4354 0.5646 0.3559
Cs 0.5646 0.4354 0.6441
Cs 0.6388 0.3612 0.0722
Cs 0.8612 0.1388 0.5722
Cs 0.9354 0.0646 0.1441
Cr 0.2465 0.7535 0.6746
Cr 0.2535 0.7465 0.1746
Cr 0.7465 0.2535 0.8254
Cr 0.7535 0.2465 0.3254
S 0.0314 0.4686 0.7500
S 0.1001 0.8999 0.6436
S 0.1695 0.8305 0.0654
S 0.3305 0.6695 0.5654
S 0.3999 0.6001 0.1436
S 0.4686 0.0314 0.2500
S 0.5314 0.9686 0.7500
S 0.6001 0.3999 0.8564
S 0.6695 0.3305 0.4346
S 0.8305 0.1695 0.9346
S 0.8999 0.1001 0.3564
S 0.9686 0.5314 0.2500

Principal peaks in the range 5 to 70 degrees two-theta, most intense first:
| d/Å | I/Imax |
| --- | --- |
| 3.565 | 100 |
| 2.963 | 35 |
| 2.277 | 25 |
| 3.508 | 22 |
| 3.861 | 21 |
| 4.130 | 19 |
| 2.678 | 19 |
| 3.428 | 15 |

Entry 7:
Starting from a PBE-relaxed structure, the powder XRD pattern of Cs3CrS4 was simulated for Cu Kα, 1.54184 Å.
No peak broadening, texture or thermal motion is included.

Crystal structure
Lattice parameters (Å, degrees): 9.8210 11.7285 9.8319 90.00 90.00 90.00
Positions (direct):
Cs 0.0443 0.0421 0.2092
Cs 0.0443 0.4579 0.2092
Cs 0.1509 0.7500 0.4133
Cs 0.3491 0.2500 0.9133
Cs 0.4557 0.5421 0.7092
Cs 0.4557 0.9579 0.7092
Cs 0.5443 0.0421 0.2908
Cs 0.5443 0.4579 0.2908
Cs 0.6509 0.7500 0.0867
Cs 0.8491 0.2500 0.5867
Cs 0.9557 0.5421 0.7908
Cs 0.9557 0.9579 0.7908
Cr 0.2231 0.7500 0.9844
Cr 0.2769 0.2500 0.4844
Cr 0.7231 0.7500 0.5156
Cr 0.7769 0.2500 0.0156
S 0.0212 0.7500 0.0661
S 0.1730 0.0996 0.5486
S 0.1730 0.4004 0.5486
S 0.2112 0.7500 0.7674
S 0.2888 0.2500 0.2674
S 0.3270 0.5996 0.0486
S 0.3270 0.9004 0.0486
S 0.4788 0.2500 0.5661
S 0.5212 0.7500 0.4339
S 0.6730 0.0996 0.9514
S 0.6730 0.4004 0.9514
S 0.7112 0.7500 0.7326
S 0.7888 0.2500 0.2326
S 0.8270 0.5996 0.4514
S 0.8270 0.9004 0.4514
S 0.9788 0.2500 0.9339

Principal peaks in the range 5 to 70 degrees two-theta, most intense first:
| d/Å | I/Imax |
| --- | --- |
| 3.766 | 100 |
| 3.059 | 39 |
| 3.474 | 32 |
| 3.107 | 30 |
| 3.517 | 29 |
| 3.156 | 28 |
| 2.472 | 28 |
| 4.393 | 27 |

Entry 8:
Starting from a PBE-relaxed structure, the powder XRD pattern of Cs4CrS4 was simulated for Cu Kα, 1.54184 Å.
No peak broadening, texture or thermal motion is included.

Crystal structure
Lattice parameters (Å, degrees): 9.6134 9.6134 7.3159 90.00 90.00 90.00
Positions (direct):
Cs 0.0296 0.2500 0.1021
Cs 0.2500 0.0296 0.6021
Cs 0.2500 0.4704 0.6021
Cs 0.4704 0.2500 0.1021
Cs 0.5296 0.7500 0.8979
Cs 0.7500 0.5296 0.3979
Cs 0.7500 0.9704 0.3979
Cs 0.9704 0.7500 0.8979
Cr 0.2500 0.7500 0.2500
Cr 0.7500 0.2500 0.7500
S 0.0590 0.7500 0.4183
S 0.2500 0.5590 0.0817
S 0.2500 0.9410 0.0817
S 0.4410 0.7500 0.4183
S 0.5590 0.2500 0.5817
S 0.7500 0.0590 0.9183
S 0.7500 0.4410 0.9183
S 0.9410 0.2500 0.5817

Principal peaks in the range 5 to 70 degrees two-theta, most intense first:
| d/Å | I/Imax |
| --- | --- |
| 3.399 | 100 |
| 4.017 | 94 |
| 3.707 | 82 |
| 3.419 | 80 |
| 2.786 | 52 |
| 2.155 | 50 |
| 2.403 | 45 |
| 2.807 | 42 |

Entry 9:
Starting from a PBE-relaxed structure, the powder XRD pattern of Cs3Cr2S4 was simulated for Cu Kα, 1.54184 Å.
No peak broadening, texture or thermal motion is included.

Crystal structure
Lattice parameters (Å, degrees): 10.7978 10.7978 10.7978 140.86 69.51 125.06
Positions (direct):
Cs 0.1292 0.3792 0.7500
Cs 0.1681 0.0674 0.1007
Cs 0.4667 0.0674 0.3993
Cs 0.5333 0.9326 0.6007
Cs 0.8319 0.9326 0.8993
Cs 0.8708 0.6208 0.2500
Cr 0.0920 0.6315 0.4604
Cr 0.3289 0.3685 0.9604
Cr 0.6711 0.6315 0.0396
Cr 0.9080 0.3685 0.5396
S 0.1626 0.0000 0.6626
S 0.1626 0.5000 0.1626
S 0.1741 0.5848 0.5893
S 0.4955 0.5848 0.9107
S 0.5045 0.4152 0.0893
S 0.8259 0.4152 0.4107
S 0.8374 0.0000 0.3374
S 0.8374 0.5000 0.8374

Principal peaks in the range 5 to 70 degrees two-theta, most intense first:
| d/Å | I/Imax |
| --- | --- |
| 3.535 | 100 |
| 3.997 | 91 |
| 3.617 | 78 |
| 2.895 | 62 |
| 2.948 | 41 |
| 2.957 | 39 |
| 8.871 | 32 |
| 2.260 | 28 |

Entry 10:
Starting from a PBE-relaxed structure, the powder XRD pattern of CsCrTcS3 was simulated for Cu Kα, 1.54184 Å.
No peak broadening, texture or thermal motion is included.

Crystal structure
Lattice parameters (Å, degrees): 8.8010 3.5777 9.7623 90.00 115.52 90.00
Positions (direct):
Cs 0.0074 0.2500 0.2494
Cs 0.9926 0.7500 0.7506
Cr 0.4636 0.2500 0.1401
Cr 0.5364 0.7500 0.8599
Tc 0.4709 0.7500 0.3857
Tc 0.5291 0.2500 0.6143
S 0.2742 0.7500 0.1326
S 0.3450 0.7500 0.5540
S 0.3580 0.2500 0.8717
S 0.6420 0.7500 0.1283
S 0.6550 0.2500 0.4460
S 0.7258 0.2500 0.8674

Principal peaks in the range 5 to 70 degrees two-theta, most intense first:
| d/Å | I/Imax |
| --- | --- |
| 3.971 | 100 |
| 2.897 | 88 |
| 2.776 | 84 |
| 7.942 | 58 |
| 2.406 | 57 |
| 4.836 | 53 |
| 1.921 | 51 |
| 2.334 | 45 |

Entry 11:
Starting from a PBE-relaxed structure, the powder XRD pattern of CsCr5Se8 was simulated for Cu Kα, 1.54184 Å.
No peak broadening, texture or thermal motion is included.

Crystal structure
Lattice parameters (Å, degrees): 9.7348 9.7348 9.2371 104.73 104.73 22.01
Positions (direct):
Cs 0.0000 0.0000 0.0000
Cr 0.1597 0.1597 0.4815
Cr 0.2047 0.2047 0.8331
Cr 0.5000 0.5000 0.5000
Cr 0.7953 0.7953 0.1669
Cr 0.8403 0.8403 0.5185
Se 0.0757 0.0757 0.6512
Se 0.2606 0.2606 0.3425
Se 0.3273 0.3273 0.0136
Se 0.4120 0.4120 0.6644
Se 0.5880 0.5880 0.3356
Se 0.6727 0.6727 0.9864
Se 0.7394 0.7394 0.6575
Se 0.9243 0.9243 0.3488

Principal peaks in the range 5 to 70 degrees two-theta, most intense first:
| d/Å | I/Imax |
| --- | --- |
| 2.877 | 100 |
| 2.771 | 72 |
| 1.843 | 55 |
| 2.909 | 43 |
| 2.040 | 32 |
| 2.701 | 30 |
| 1.858 | 29 |
| 2.334 | 28 |